(1)
# Th2Fe7
Computed powder diffraction line list, Cu Kα (weighted mean of Kα1 and Kα2). Input: a PBE-relaxed structure.
No peak broadening, texture or thermal motion is included.

Main lines, low angle first (2θ from 15° to 90°):
two_theta  intensity
20.2  31
31.5  63
33.4  42
35.0  64
40.8  39
41.5  100
60.6  21
61.8  15
67.3  23
74.0  20

Structural model:
Cell: 12.679 12.679 12.679 Å, 23.31 23.31 23.31°
Atoms (fractional coordinates):
Th (0.051, 0.051, 0.051)
Th (0.148, 0.148, 0.148)
Th (0.852, 0.852, 0.852)
Th (0.949, 0.949, 0.949)
Fe (0.000, 0.500, 0.500)
Fe (0.109, 0.610, 0.610)
Fe (0.278, 0.278, 0.278)
Fe (0.389, 0.389, 0.389)
Fe (0.390, 0.390, 0.891)
Fe (0.390, 0.891, 0.390)
Fe (0.500, 0.000, 0.500)
Fe (0.500, 0.500, 0.000)
Fe (0.500, 0.500, 0.500)
Fe (0.610, 0.109, 0.610)
Fe (0.610, 0.610, 0.109)
Fe (0.611, 0.611, 0.611)
Fe (0.722, 0.722, 0.722)
Fe (0.891, 0.390, 0.390)

=====

(2)
# Er2Fe6Co6P7
Computed powder diffraction line list, Cu Kα (weighted mean of Kα1 and Kα2). Input: a PBE-relaxed structure.
No peak broadening, texture or thermal motion is included.

Main lines, low angle first (2θ from 15° to 90°):
two_theta  intensity
27.3  13
30.4  10
34.6  10
39.5  100
40.2  9
50.6  16
54.0  17
57.6  11
77.2  11
87.7  9

Structural model:
Cell: 8.982 8.982 3.607 Å, 90.00 90.00 120.00°
Atoms (fractional coordinates):
Er (0.000, 0.000, 0.000)
Er (0.333, 0.667, 0.500)
Fe (0.100, 0.384, 0.000)
Fe (0.283, 0.900, 0.000)
Fe (0.447, 0.237, 0.000)
Fe (0.616, 0.717, 0.000)
Fe (0.763, 0.210, 0.000)
Fe (0.790, 0.553, 0.000)
Co (0.036, 0.765, 0.500)
Co (0.235, 0.271, 0.500)
Co (0.512, 0.060, 0.500)
Co (0.547, 0.488, 0.500)
Co (0.729, 0.964, 0.500)
Co (0.940, 0.453, 0.500)
P (0.070, 0.624, 0.000)
P (0.258, 0.035, 0.500)
P (0.376, 0.446, 0.000)
P (0.554, 0.930, 0.000)
P (0.667, 0.333, 0.500)
P (0.777, 0.742, 0.500)
P (0.965, 0.223, 0.500)

=====

(3)
# PrZnPd
Computed powder diffraction line list, Cu Kα (weighted mean of Kα1 and Kα2). Input: a PBE-relaxed structure.
No peak broadening, texture or thermal motion is included.

Main lines, low angle first (2θ from 15° to 90°):
two_theta  intensity
32.7  97
35.5  100
36.6  41
41.8  34
43.2  26
45.1  27
56.0  21
59.4  19
63.1  20
67.0  28

Structural model:
Cell: 7.491 7.491 4.024 Å, 90.00 90.00 120.00°
Atoms (fractional coordinates):
Pr (0.000, 0.592, 0.000)
Pr (0.408, 0.408, 0.000)
Pr (0.592, 0.000, 0.000)
Zn (0.000, 0.242, 0.500)
Zn (0.242, 0.000, 0.500)
Zn (0.758, 0.758, 0.500)
Pd (0.000, 0.000, 0.000)
Pd (0.333, 0.667, 0.500)
Pd (0.667, 0.333, 0.500)

=====

Which formula does entry 2 have? Er2Fe6Co6P7